Entry 1:
Calculated powder diffraction line list
Compound: La3Pm4Y2
Radiation: a wavelength of 1.5418 Å
Structure: a structure optimized by DFT (GGA-PBE)
Kinematic intensities with the Lorentz-polarization factor, no thermal factor.

Peak list (8 most intense, 10° ≤ 2θ ≤ 80°, by angle)
- 2θ = 28.21°, I = 49, hkl 1 0 0
- 2θ = 29.34°, I = 57, hkl 0 0 9
- 2θ = 31.14°, I = 88, hkl 0 1 4
- 2θ = 32.69°, I = 100, hkl 1 0 5
- 2θ = 41.16°, I = 34, hkl 1 0 9
- 2θ = 49.94°, I = 40, hkl 1 1 0
- 2θ = 55.20°, I = 27, hkl 1 0 14
- 2θ = 58.98°, I = 47, hkl 1 1 9

Cell and atoms:
Cell lengths 3.6526, 3.6526, 27.3925 Å; angles 90.00, 90.00, 120.00 degrees
Space group P3m1 (No. 156)
One atom of each set of equivalent atoms:
La 0.0000 0.0000 0.0000 [1 per cell]
La 0.0000 0.0000 0.3359 [1 per cell]
La 0.6667 0.3333 0.6700 [1 per cell]
Pm 0.0000 0.0000 0.5571 [1 per cell]
Pm 0.0000 0.0000 0.7835 [1 per cell]
Pm 0.6667 0.3333 0.2283 [1 per cell]
Pm 0.6667 0.3333 0.4506 [1 per cell]
Y 0.6667 0.3333 0.1057 [1 per cell]
Y 0.6667 0.3333 0.8874 [1 per cell]

---

Entry 2:
Calculated powder diffraction line list
Compound: KBa2Cd2O4
Radiation: a wavelength of 1.5418 Å
Structure: a structure optimized by DFT (GGA-PBE)
Kinematic intensities with the Lorentz-polarization factor, no thermal factor.

Peak list (8 most intense, 10° ≤ 2θ ≤ 80°, by angle)
- 2θ = 15.02°, I = 33, hkl 2 0 -1
- 2θ = 27.67°, I = 66, hkl 0 0 2
- 2θ = 27.79°, I = 56, hkl 1 1 -1
- 2θ = 30.31°, I = 32, hkl 4 0 -2
- 2θ = 31.29°, I = 91, hkl 3 1 -1
- 2θ = 37.10°, I = 100, hkl 3 1 1
- 2θ = 42.52°, I = 33, hkl 5 1 -2
- 2θ = 47.55°, I = 35, hkl 1 1 -3

Cell and atoms:
Cell lengths 14.9100, 3.6323, 6.9052 Å; angles 90.00, 110.97, 90.00 degrees
Space group C2/m (No. 12)
One atom of each set of equivalent atoms:
K 0.0000 0.0000 0.0000 [2 per cell]
Ba 0.1239 0.0000 0.5421 [4 per cell]
Cd 0.1782 0.5000 0.0264 [4 per cell]
O 0.0481 0.5000 0.7384 [4 per cell]
O 0.2042 0.0000 0.2497 [4 per cell]

---

Entry 3:
Calculated powder diffraction line list
Compound: Sm2Ho5Er2
Radiation: a wavelength of 1.5418 Å
Structure: a structure optimized by DFT (GGA-PBE)
Kinematic intensities with the Lorentz-polarization factor, no thermal factor.

Peak list (8 most intense, 10° ≤ 2θ ≤ 80°, by angle)
- 2θ = 29.05°, I = 37, hkl 0 1 -3
- 2θ = 31.39°, I = 49, hkl 0 3 0
- 2θ = 32.11°, I = 100, hkl -1 1 2
- 2θ = 33.79°, I = 58, hkl 1 2 -2
- 2θ = 33.87°, I = 28, hkl 0 1 3
- 2θ = 51.15°, I = 25, hkl 1 1 -5
- 2θ = 55.20°, I = 22, hkl -1 4 2
- 2θ = 61.25°, I = 29, hkl 1 2 4

Cell and atoms:
Cell lengths 3.5799, 8.7967, 9.4441 Å; angles 103.33, 100.92, 90.02 degrees
Space group P-1 (No. 2)
One atom of each set of equivalent atoms:
Sm 0.0935 0.3341 0.1851 [2 per cell]
Ho 0.2401 0.6677 0.4814 [2 per cell]
Ho 0.4261 0.3311 0.8498 [2 per cell]
Ho 0.5000 0.0000 0.0000 [1 per cell]
Er 0.1664 0.9997 0.3341 [2 per cell]

---

Entry 4:
Calculated powder diffraction line list
Compound: In5Ag4
Radiation: a wavelength of 1.5418 Å
Structure: a structure optimized by DFT (GGA-PBE)
Kinematic intensities with the Lorentz-polarization factor, no thermal factor.

Peak list (8 most intense, 10° ≤ 2θ ≤ 80°, by angle)
- 2θ = 34.73°, I = 11, hkl 2 1 1
- 2θ = 35.39°, I = 99, hkl 1 1 2
- 2θ = 35.90°, I = 100, hkl 3 0 0
- 2θ = 46.48°, I = 8, hkl 3 0 2
- 2θ = 51.30°, I = 31, hkl 2 2 2
- 2θ = 64.20°, I = 28, hkl 4 1 2
- 2θ = 64.52°, I = 14, hkl 3 3 0
- 2θ = 71.08°, I = 27, hkl 3 0 4

Cell and atoms:
Cell lengths 8.6653, 8.6653, 6.2564 Å; angles 90.00, 90.00, 120.00 degrees
Space group P6_3/mcm (No. 193)
One atom of each set of equivalent atoms:
In 0.0000 0.3061 0.2500 [6 per cell]
In 0.3333 0.6667 0.0000 [4 per cell]
Ag 0.0000 0.0000 0.0000 [2 per cell]
Ag 0.0000 0.3547 0.7500 [6 per cell]